Diffraction record for Li4V3OF11. The X-ray diffraction stick pattern is simulated, not measured: it uses a cell relaxed with GGA+U and Cu Kα (λ = 1.5418 Å).

Top 12 peaks for 2θ = 15–90°, sorted by position:
d [Å]	2θ (°)	I_rel	index
4.609	19.26	82	1 0 -1
3.730	23.85	50	1 1 -1
3.649	24.39	88	1 1 0
3.592	24.79	64	1 -1 1
3.025	29.53	79	0 2 -1
2.978	30.00	100	1 0 -2
2.755	32.50	42	1 1 1
2.630	34.10	47	2 -1 0
2.323	38.76	69	2 -1 1
2.078	43.56	56	1 0 -3
1.782	51.26	50	0 1 3
1.673	54.89	51	-3 1 2

Structural model:
```
Li4V3OF11
1.0
5.5532 0.0000 0.0000
-0.8105 6.1902 0.0000
-1.2882 -1.7727 6.1164
Li V O F
4 3 1 11
direct
0.0000 0.0000 0.0000
0.2247 0.5252 0.0804
0.5247 0.2182 0.1699
0.7514 0.7547 0.2657
0.0763 0.2661 0.4988
0.3673 0.8484 0.6291
0.6742 0.4934 0.7654
0.3201 0.5477 0.6533
0.0354 0.9273 0.5037
0.2099 0.2844 0.2352
0.3174 0.9852 0.9166
0.4288 0.7667 0.3369
0.4520 0.1762 0.6042
0.5436 0.4569 0.0261
0.7206 0.8253 0.7605
0.7971 0.0745 0.2296
0.7994 0.4588 0.4781
0.9514 0.6768 0.0333
0.9522 0.2937 0.7851
```